Structure and calculated XRD peak list of Ac3MgSi2Pd9 (a structure optimized by DFT (PBE); Cu Kα).
Lines closer than 0.1° are merged.

Crystal structure
Unit cell a=6.1321 b=6.1321 c=10.1583 alpha=90.00 beta=90.00 gamma=120.00
Space group P-3m1 (No. 164)
Symmetry-distinct sites (fractional):
Ac: 0.0000 0.0000 0.0000 (multiplicity 1)
Ac: 0.3333 0.6667 0.6734 (multiplicity 2)
Mg: 0.0000 0.0000 0.5000 (multiplicity 1)
Si: 0.3333 0.6667 0.1601 (multiplicity 2)
Pd: 0.0000 0.5000 0.0000 (multiplicity 3)
Pd: 0.1542 0.3083 0.2947 (multiplicity 6)

Peak list (10 most intense, 10° ≤ 2θ ≤ 90°, by angle)
Position (°2θ)  d/Å  I (rel.)
18.86  4.706  13.0
24.25  3.671  20.2
26.32  3.386  57.4
34.93  2.569  100.0
38.25  2.353  92.5
49.68  1.835  34.1
57.08  1.614  20.4
60.38  1.533  24.6
67.01  1.397  23.6
73.77  1.284  12.8

=====

Structure and calculated XRD peak list of Cu3HgPd6 (a structure optimized by DFT (PBE); Cu Kα).
Lines closer than 0.1° are merged.

Crystal structure
Unit cell a=8.1738 b=4.1255 c=8.9595 alpha=90.00 beta=96.51 gamma=90.00
Space group P2_1/m (No. 11)
Symmetry-distinct sites (fractional):
Cu: 0.0496 0.2500 0.3961 (multiplicity 2)
Cu: 0.1516 0.7500 0.1833 (multiplicity 2)
Cu: 0.2458 0.2500 0.9814 (multiplicity 2)
Hg: 0.4416 0.2500 0.6046 (multiplicity 2)
Pd: 0.0346 0.7500 0.8979 (multiplicity 2)
Pd: 0.1222 0.2500 0.6928 (multiplicity 2)
Pd: 0.2260 0.7500 0.4805 (multiplicity 2)
Pd: 0.3307 0.2500 0.2777 (multiplicity 2)
Pd: 0.3375 0.7500 0.7953 (multiplicity 2)
Pd: 0.4435 0.7500 0.0897 (multiplicity 2)

Peak list (10 most intense, 10° ≤ 2θ ≤ 90°, by angle)
Position (°2θ)  d/Å  I (rel.)
40.01  2.254  97.8
40.17  2.245  100.0
43.89  2.063  41.1
44.13  2.052  38.3
51.55  1.773  19.7
64.00  1.455  24.6
69.96  1.345  24.2
78.04  1.224  13.2
78.15  1.223  13.6
78.59  1.217  12.4

=====

Structure and calculated XRD peak list of Li3As3Au2 (a structure optimized by DFT (PBE); Cu Kα).
Lines closer than 0.1° are merged.

Crystal structure
Unit cell a=4.0650 b=9.4046 c=15.8718 alpha=90.00 beta=90.00 gamma=90.00
Space group Cmcm (No. 63)
Symmetry-distinct sites (fractional):
Li: 0.0000 0.0258 0.2500 (multiplicity 4)
Li: 0.0000 0.2127 0.6182 (multiplicity 8)
As: 0.0000 0.0956 0.0529 (multiplicity 8)
As: 0.0000 0.3101 0.2500 (multiplicity 4)
Au: 0.0000 0.4908 0.1332 (multiplicity 8)

Peak list (10 most intense, 10° ≤ 2θ ≤ 90°, by angle)
Position (°2θ)  d/Å  I (rel.)
18.87  4.702  94.1
22.41  3.968  32.0
23.85  3.731  59.5
26.39  3.377  31.6
29.45  3.033  74.5
32.95  2.718  100.0
36.19  2.482  32.6
42.98  2.104  65.5
44.58  2.032  29.4
52.22  1.752  44.2

=====

Structure and calculated XRD peak list of Cu4H (a structure optimized by DFT (PBE); Cu Kα).
Lines closer than 0.1° are merged.

Crystal structure
Unit cell a=3.6983 b=3.6983 c=3.6983 alpha=90.00 beta=90.00 gamma=90.00
Space group Pm-3m (No. 221)
Symmetry-distinct sites (fractional):
Cu: 0.0000 0.0000 0.0000 (multiplicity 1)
Cu: 0.0000 0.5000 0.5000 (multiplicity 3)
H: 0.5000 0.5000 0.5000 (multiplicity 1)

Peak list (4 most intense, 10° ≤ 2θ ≤ 90°, by angle)
Position (°2θ)  d/Å  I (rel.)
42.33  2.135  100.0
49.28  1.849  47.7
72.26  1.308  27.3
87.47  1.115  31.8

=====

Structure and calculated XRD peak list of Np3Tl3AsSe8 (a structure optimized by DFT (PBE); Cu Kα).
Lines closer than 0.1° are merged.

Crystal structure
Unit cell a=14.4833 b=8.3541 c=9.1520 alpha=90.00 beta=121.77 gamma=90.00
Space group C2/m (No. 12)
Symmetry-distinct sites (fractional):
Np: 0.0000 0.0000 0.0000 (multiplicity 2)
Np: 0.2500 0.2500 0.0000 (multiplicity 4)
Tl: 0.0000 0.5000 0.5000 (multiplicity 2)
Tl: 0.2500 0.2500 0.5000 (multiplicity 4)
As: 0.0000 0.5000 0.0000 (multiplicity 2)
Se: 0.0153 0.2591 0.8060 (multiplicity 8)
Se: 0.2247 0.5000 0.1924 (multiplicity 4)
Se: 0.2356 0.0000 0.2056 (multiplicity 4)

Peak list (10 most intense, 10° ≤ 2θ ≤ 90°, by angle)
Position (°2θ)  d/Å  I (rel.)
11.37  7.781  11.5
14.40  6.151  16.2
22.86  3.890  11.7
25.77  3.457  19.4
29.03  3.076  100.0
39.68  2.272  36.0
43.30  2.090  36.1
52.98  1.728  18.8
65.57  1.424  13.4
70.74  1.332  15.9

=====

Structure and calculated XRD peak list of Ti4SiS (a structure optimized by DFT (PBE); Cu Kα).
Lines closer than 0.1° are merged.

Crystal structure
Unit cell a=5.7159 b=5.9681 c=5.9296 alpha=90.00 beta=94.83 gamma=90.00
Space group P2_1/c (No. 14)
Symmetry-distinct sites (fractional):
Ti: 0.1387 0.1414 0.3777 (multiplicity 4)
Ti: 0.3599 0.6557 0.3328 (multiplicity 4)
Si: 0.0000 0.0000 0.0000 (multiplicity 2)
S: 0.5000 0.0000 0.5000 (multiplicity 2)

Peak list (10 most intense, 10° ≤ 2θ ≤ 90°, by angle)
Position (°2θ)  d/Å  I (rel.)
32.96  2.718  30.4
33.65  2.664  98.3
34.91  2.570  100.0
35.39  2.537  57.6
36.32  2.473  60.2
37.07  2.425  26.6
37.83  2.378  29.6
39.27  2.294  24.1
50.10  1.821  35.0
50.59  1.804  30.4

=====

Structure and calculated XRD peak list of CsTaPS6 (a structure optimized by DFT (PBE); Cu Kα).
Lines closer than 0.1° are merged.

Crystal structure
Unit cell a=6.0992 b=6.0992 c=8.1652 alpha=90.00 beta=90.00 gamma=120.00
Space group P312 (No. 149)
Symmetry-distinct sites (fractional):
Cs: 0.0000 0.0000 0.0000 (multiplicity 1)
Ta: 0.6667 0.3333 0.5000 (multiplicity 1)
P: 0.3333 0.6667 0.5000 (multiplicity 1)
S: 0.0223 0.3861 0.3352 (multiplicity 6)

Peak list (10 most intense, 10° ≤ 2θ ≤ 90°, by angle)
Position (°2θ)  d/Å  I (rel.)
10.84  8.165  32.8
20.02  4.435  100.0
29.29  3.050  15.4
35.73  2.513  18.0
36.79  2.443  45.8
37.16  2.419  17.2
46.85  1.939  21.6
48.00  1.895  12.9
51.93  1.761  11.9
54.06  1.696  14.9

=====

Repeat the seventh record exactly.
Structure and calculated XRD peak list of CsTaPS6 (a structure optimized by DFT (PBE); Cu Kα).
Lines closer than 0.1° are merged.

Crystal structure
Unit cell a=6.0992 b=6.0992 c=8.1652 alpha=90.00 beta=90.00 gamma=120.00
Space group P312 (No. 149)
Symmetry-distinct sites (fractional):
Cs: 0.0000 0.0000 0.0000 (multiplicity 1)
Ta: 0.6667 0.3333 0.5000 (multiplicity 1)
P: 0.3333 0.6667 0.5000 (multiplicity 1)
S: 0.0223 0.3861 0.3352 (multiplicity 6)

Peak list (10 most intense, 10° ≤ 2θ ≤ 90°, by angle)
Position (°2θ)  d/Å  I (rel.)
10.84  8.165  32.8
20.02  4.435  100.0
29.29  3.050  15.4
35.73  2.513  18.0
36.79  2.443  45.8
37.16  2.419  17.2
46.85  1.939  21.6
48.00  1.895  12.9
51.93  1.761  11.9
54.06  1.696  14.9